[1]
Starting from the GGA-PBE geometry in Alexandria, the X-ray powder pattern of TbHoMgHg was calculated for Cu Kα (λ = 1.5418 Å).

Crystal structure
```
data_TbHoMgHg
_chemical_formula_sum 'Tb1 Ho1 Mg1 Hg1'
_space_group_name_H-M_alt 'P 4 m m'
_space_group_IT_number 99
_cell_length_a 3.779
_cell_length_b 3.779
_cell_length_c 7.369
_cell_angle_alpha 90.00
_cell_angle_beta 90.00
_cell_angle_gamma 90.00
loop_
_space_group_symop_operation_xyz
'x,y,z'
'-y,x,z'
'-x,-y,z'
'y,-x,z'
'-x,y,z'
'y,x,z'
'x,-y,z'
'-y,-x,z'
loop_
_atom_site_label
_atom_site_type_symbol
_atom_site_fract_x
_atom_site_fract_y
_atom_site_fract_z
Tb1 Tb 0.000 0.000 0.000
Ho1 Ho 0.000 0.000 0.492
Mg1 Mg 0.500 0.500 0.743
Hg1 Hg 0.500 0.500 0.250
```

Peak list (8 most intense, 10° ≤ 2θ ≤ 80°, low angle first)
(0 0 1), d = 7.369 Å, 2θ 12.01, I = 30; (1 0 1), d = 3.363 Å, 2θ 26.51, I = 17; (1 1 0), d = 2.672 Å, 2θ 33.54, I = 52; (1 0 2), d = 2.638 Å, 2θ 33.98, I = 100; (2 0 0), d = 1.890 Å, 2θ 48.16, I = 19; (2 1 2), d = 1.536 Å, 2θ 60.24, I = 39; (1 1 4), d = 1.517 Å, 2θ 61.10, I = 18; (2 0 4), d = 1.319 Å, 2θ 71.53, I = 12

---

[2]
Starting from the GGA-PBE geometry in Alexandria, the X-ray powder pattern of HoHgN was calculated for Cu Kα (λ = 1.5418 Å).

Crystal structure
```
data_HoHgN
_chemical_formula_sum 'Ho8 Hg8 N8'
_space_group_name_H-M_alt 'C m c e'
_space_group_IT_number 64
_space_group_name_Hall '-C 2ac 2'
_cell_length_a 10.235
_cell_length_b 7.566
_cell_length_c 7.477
_cell_angle_alpha 90.00
_cell_angle_beta 90.00
_cell_angle_gamma 90.00
loop_
_atom_site_label
_atom_site_type_symbol
_atom_site_fract_x
_atom_site_fract_y
_atom_site_fract_z
Ho1 Ho 0.000 0.147 0.153
Hg1 Hg 0.209 0.000 0.500
N1 N 0.000 0.143 0.861
```

Peak list (8 most intense, 10° ≤ 2θ ≤ 80°, low angle first)
(1 1 2), d = 3.185 Å, 2θ 28.01, I = 39; (2 2 0), d = 3.042 Å, 2θ 29.36, I = 70; (2 0 2), d = 3.019 Å, 2θ 29.59, I = 76; (3 1 1), d = 2.872 Å, 2θ 31.15, I = 100; (0 2 2), d = 2.659 Å, 2θ 33.71, I = 47; (4 0 0), d = 2.559 Å, 2θ 35.07, I = 35; (2 2 2), d = 2.360 Å, 2θ 38.14, I = 36; (3 3 3), d = 1.573 Å, 2θ 58.69, I = 36

---

[3]
Starting from the GGA-PBE geometry in Alexandria, the X-ray powder pattern of Ho5Hg2N was calculated for Cu Kα (λ = 1.5418 Å).

Crystal structure
```
data_Ho5Hg2N
_chemical_formula_sum 'Ho20 Hg8 N4'
_space_group_name_H-M_alt 'C m c m'
_space_group_IT_number 63
_space_group_name_Hall '-C 2c 2'
_cell_length_a 3.642
_cell_length_b 20.025
_cell_length_c 12.842
_cell_angle_alpha 90.00
_cell_angle_beta 90.00
_cell_angle_gamma 90.00
loop_
_atom_site_label
_atom_site_type_symbol
_atom_site_fract_x
_atom_site_fract_y
_atom_site_fract_z
Ho1 Ho 0.000 0.076 0.106
Ho2 Ho 0.000 0.304 0.750
Ho3 Ho 0.000 0.314 0.057
Hg1 Hg 0.000 0.076 0.640
N1 N 0.000 0.131 0.250
```

Peak list (8 most intense, 10° ≤ 2θ ≤ 80°, low angle first)
(1 1 0), d = 3.583 Å, 2θ 24.85, I = 47; (0 4 3), d = 3.253 Å, 2θ 27.41, I = 50; (1 3 0), d = 3.197 Å, 2θ 27.91, I = 45; (0 2 4), d = 3.057 Å, 2θ 29.21, I = 42; (1 1 3), d = 2.747 Å, 2θ 32.59, I = 44; (1 5 0), d = 2.694 Å, 2θ 33.25, I = 100; (0 8 0), d = 2.503 Å, 2θ 35.88, I = 44; (1 1 4), d = 2.391 Å, 2θ 37.62, I = 62